For Ba2YV3O7, the PBE+U geometry in Alexandria gives the theoretical XRD peak list in this record (copper Kα).
No peak broadening, texture or thermal motion is included.

Atomic structure:
a = 3.8845 Å, b = 4.1403 Å, c = 11.6412 Å
α = 90.00°, β = 90.00°, γ = 90.00°
Space group Pmmm (No. 47)
Asymmetric unit:
1 Ba 0.0000 0.0000 0.1741
2 Y 0.0000 0.0000 0.5000
3 V 0.5000 0.5000 0.0000
4 V 0.5000 0.5000 0.3439
5 O 0.0000 0.5000 0.3825
6 O 0.5000 0.0000 0.0000
7 O 0.5000 0.0000 0.3742
8 O 0.5000 0.5000 0.1747

Largest 10 diffraction maxima, by angle, 2θ from 10° to 80°:
21.46°, intensity 11, (0 1 0); 31.59°, intensity 100, (1 1 0); 32.61°, intensity 56, (1 0 3); 39.38°, intensity 23, (1 1 3); 43.73°, intensity 18, (0 2 0); 46.79°, intensity 26, (2 0 0); 55.60°, intensity 22, (1 2 3); 57.56°, intensity 39, (1 1 6); 65.97°, intensity 17, (2 2 0); 72.72°, intensity 9, (1 3 0)